Simulated powder diffractogram
Compound: LiMnP3HO10
Radiation: Cu Kα
Structure: a structure optimized by DFT (PBE+U)

Peak list (8 most intense, 2θ from 10° to 80°, most intense first)
- 2θ 15.51, I 100
- 2θ 15.04, I 98
- 2θ 13.39, I 65
- 2θ 21.79, I 48
- 2θ 30.35, I 43
- 2θ 30.66, I 38
- 2θ 29.84, I 38
- 2θ 30.57, I 36

Structural model:
```
data_LiMnP3HO10
_chemical_formula_sum 'Li4 Mn4 P12 H4 O40'
_symmetry_space_group_name_H-M 'C 1 2/c 1'
_symmetry_Int_Tables_number 15
_cell_length_a 12.1513
_cell_length_b 8.1105
_cell_length_c 9.4480
_cell_angle_alpha 90.00
_cell_angle_beta 109.93
_cell_angle_gamma 90.00
loop_
_symmetry_equiv_pos_as_xyz
'x,y,z'
'-x,-y,-z'
'-x,y,-z+1/2'
'x,-y,z+1/2'
'x+1/2,y+1/2,z'
'-x+1/2,-y+1/2,-z'
'-x+1/2,y+1/2,-z+1/2'
'x+1/2,-y+1/2,z+1/2'
loop_
_atom_site_label
_atom_site_type_symbol
_atom_site_fract_x
_atom_site_fract_y
_atom_site_fract_z
Li1 Li 0.0000 0.0656 0.2500
Mn1 Mn 0.2500 0.2500 0.0000
P1 P 0.0000 0.3627 0.7500
P2 P 0.2078 0.4309 0.2943
H1 H 0.2500 0.2500 0.5000
O1 O 0.0650 0.2674 0.8899
O2 O 0.0841 0.4853 0.7001
O3 O 0.1772 0.2844 0.3782
O4 O 0.2128 0.0595 0.0992
O5 O 0.2365 0.1112 0.8226
```


Simulated powder diffractogram
Compound: Rb2NiF6
Radiation: Cu Kα
Structure: a structure optimized by DFT (PBE+U)

Peak list (8 most intense, 2θ from 10° to 80°, most intense first)
- 2θ 29.39, I 100
- 2θ 17.87, I 49
- 2θ 42.05, I 48
- 2θ 36.20, I 39
- 2θ 52.13, I 34
- 2θ 60.98, I 26
- 2θ 69.12, I 22
- 2θ 20.67, I 10

Structural model:
```
data_Rb2NiF6
_chemical_formula_sum 'Rb8 Ni4 F24'
_symmetry_space_group_name_H-M 'F m -3 m'
_symmetry_Int_Tables_number 225
_symmetry_space_group_name_Hall '-F 4 2 3'
_cell_length_a 8.5950
_cell_length_b 8.5950
_cell_length_c 8.5950
_cell_angle_alpha 90.00
_cell_angle_beta 90.00
_cell_angle_gamma 90.00
loop_
_atom_site_label
_atom_site_type_symbol
_atom_site_fract_x
_atom_site_fract_y
_atom_site_fract_z
Rb1 Rb 0.2500 0.2500 0.2500
Ni1 Ni 0.0000 0.0000 0.0000
F1 F 0.0000 0.0000 0.2100
```


Simulated powder diffractogram
Compound: MgMnP2O7
Radiation: Cu Kα
Structure: a structure optimized by DFT (PBE+U)

Peak list (8 most intense, 2θ from 10° to 80°, most intense first)
- 2θ 27.73, I 100
- 2θ 28.22, I 68
- 2θ 23.53, I 62
- 2θ 29.89, I 44
- 2θ 46.12, I 30
- 2θ 42.99, I 28
- 2θ 34.02, I 28
- 2θ 20.39, I 26

Structural model:
```
data_MgMnP2O7
_chemical_formula_sum 'Mg2 Mn2 P4 O14'
_symmetry_space_group_name_H-M 'C 1 2 1'
_symmetry_Int_Tables_number 5
_cell_length_a 6.7595
_cell_length_b 8.7122
_cell_length_c 4.6954
_cell_angle_alpha 90.00
_cell_angle_beta 101.71
_cell_angle_gamma 90.00
loop_
_symmetry_equiv_pos_as_xyz
'x,y,z'
'-x,y,-z'
'x+1/2,y+1/2,z'
'-x+1/2,y+1/2,-z'
loop_
_atom_site_label
_atom_site_type_symbol
_atom_site_fract_x
_atom_site_fract_y
_atom_site_fract_z
Mg1 Mg 0.0000 0.0000 0.0000
Mn1 Mn 0.0000 0.3754 0.5000
P1 P 0.2117 0.7102 0.9017
O1 O 0.0000 0.7593 0.0000
O2 O 0.1319 0.1915 0.8124
O3 O 0.1997 0.5523 0.7535
O4 O 0.2351 0.8501 0.7186
```